This entry pairs a crystal structure of MnNb4O12 with its computed PXRD pattern. Radiation: Cu Ka. Structure: the GGA+U geometry in Alexandria.
Lines closer than 0.1° are merged.

Peak list (6 most intense, 2θ = 5–70°, in order of falling intensity)
23.43°, I = 100
23.10°, I = 99
23.32°, I = 98
31.62°, I = 45
31.88°, I = 42
32.17°, I = 41

Crystal structure
Cell: 5.1765 5.6444 7.7432 Å, 84.13 88.93 89.63°
Sites, in units of the cell vectors:
1 Mn 0.0000 0.0000 0.0000
2 Nb 0.0130 0.6006 0.7963
3 Nb 0.4720 0.1179 0.2911
4 Nb 0.5094 0.1364 0.7811
5 Nb 0.9756 0.6101 0.3177
6 O 0.0989 0.6829 0.0593
7 O 0.1889 0.9521 0.7820
8 O 0.1958 0.3493 0.3527
9 O 0.2964 0.8477 0.3673
10 O 0.3237 0.1377 0.0557
11 O 0.3341 0.4584 0.7598
12 O 0.5938 0.1263 0.5543
13 O 0.6895 0.4463 0.2641
14 O 0.7264 0.8596 0.8785
15 O 0.8120 0.9705 0.2156
16 O 0.8359 0.3029 0.8877
17 O 0.8863 0.6437 0.5718